V2Mo3W7: calculated XRD peak list (Cu Kα (λ = 1.5418 Å)), based on a PBE-relaxed structure.

Most intense lines, 2θ from 10° to 80°, in order of rising 2θ:
- 2θ = 23.86°, I 12.0
- 2θ = 26.10°, I 9.3
- 2θ = 35.65°, I 12.2
- 2θ = 40.50°, I 27.1
- 2θ = 41.17°, I 25.9
- 2θ = 41.46°, I 100.0
- 2θ = 59.13°, I 17.8
- 2θ = 74.33°, I 17.6
- 2θ = 75.23°, I 17.1
- 2θ = 75.82°, I 7.7

Structural model:
Unit cell a=10.8545 b=10.8545 c=4.4542 alpha=90.00 beta=90.00 gamma=156.69
Atoms (fractional coordinates):
V 0.1469 0.8531 0.0000
V 0.8531 0.1469 0.0000
Mo 0.3493 0.6507 0.5000
Mo 0.5000 0.5000 0.5000
Mo 0.6507 0.3493 0.5000
W 0.0000 0.0000 0.0000
W 0.0755 0.9245 0.5000
W 0.2850 0.7150 0.0000
W 0.4249 0.5751 0.0000
W 0.5751 0.4249 0.0000
W 0.7150 0.2850 0.0000
W 0.9245 0.0755 0.5000